Computed XRD peak list
Compound: TiH8N2F6
Radiation: Cu Kα (λ = 1.5418 Å)
Structure: a crystal structure in Alexandria, relaxed with GGA-PBE
No peak broadening, texture or thermal motion is included.

Structural model:
Lattice parameters (Å, degrees): 5.7706 5.7706 5.1932 90.00 90.00 120.00
Space group P-3m1 (No. 164)
Asymmetric unit:
1 Ti 0.0000 0.0000 0.0000 [1 per cell]
2 H 0.1388 0.5694 0.2590 [6 per cell]
3 H 0.3333 0.6667 0.5233 [2 per cell]
4 N 0.3333 0.6667 0.3249 [2 per cell]
5 F 0.1567 0.3133 0.7936 [6 per cell]

Principal peaks in the range 2θ from 10° to 80°, in order of rising 2θ:
2θ = 17.07°, rel. 40, (0 0 1)
2θ = 17.75°, rel. 85, (1 0 0)
2θ = 24.72°, rel. 100, (1 0 1)
2θ = 39.09°, rel. 15, (1 0 2)
2θ = 40.04°, rel. 96, (2 0 1)
2θ = 47.08°, rel. 16, (1 1 2)
2θ = 50.70°, rel. 32, (2 0 2)
2θ = 51.48°, rel. 20, (2 1 1)
2θ = 60.62°, rel. 13, (2 1 2)
2θ = 62.58°, rel. 13, (1 1 3)
2θ = 64.60°, rel. 19, (2 2 0)
2θ = 65.61°, rel. 12, (0 2 3)

---

Computed XRD peak list
Compound: TiH12N3F7
Radiation: Cu Kα (λ = 1.5418 Å)
Structure: a crystal structure in Alexandria, relaxed with GGA-PBE
No peak broadening, texture or thermal motion is included.

Structural model:
Lattice parameters (Å, degrees): 5.860 7.283 7.523 67.61 89.99 68.47
Space group P1 (No. 1)
Asymmetric unit:
1 Ti 0.000 0.000 0.000 [1 per cell]
2 H 0.054 0.654 0.342 [1 per cell]
3 H 0.115 0.189 0.446 [1 per cell]
4 H 0.142 0.573 0.162 [1 per cell]
5 H 0.233 0.202 0.464 [1 per cell]
6 H 0.328 0.944 0.377 [1 per cell]
7 H 0.484 0.674 0.172 [1 per cell]
8 H 0.543 0.857 0.740 [1 per cell]
9 H 0.558 0.273 0.666 [1 per cell]
10 H 0.580 0.686 0.450 [1 per cell]
11 H 0.667 0.834 0.707 [1 per cell]
12 H 0.783 0.319 0.164 [1 per cell]
13 H 0.981 0.431 0.703 [1 per cell]
14 N 0.065 0.704 0.196 [1 per cell]
15 N 0.360 0.808 0.191 [1 per cell]
16 N 0.434 0.815 0.347 [1 per cell]
17 F 0.088 0.242 0.881 [1 per cell]
18 F 0.130 0.877 0.836 [1 per cell]
19 F 0.499 0.365 0.529 [1 per cell]
20 F 0.671 0.134 0.881 [1 per cell]
21 F 0.707 0.478 0.121 [1 per cell]
22 F 0.902 0.560 0.579 [1 per cell]
23 F 0.915 0.088 0.212 [1 per cell]

Principal peaks in the range 2θ from 10° to 80°, in order of rising 2θ:
2θ = 12.90°, rel. 44, (0 0 1)
2θ = 14.33°, rel. 17, (0 1 0)
2θ = 14.85°, rel. 100, (0 1 1)
2θ = 16.48°, rel. 24, (1 0 0)
2θ = 17.02°, rel. 47, (1 1 0)
2θ = 19.24°, rel. 22, (1 0 -1)
2θ = 19.36°, rel. 17, (1 1 1)
2θ = 22.59°, rel. 15, (1 0 1)
2θ = 23.30°, rel. 26, (1 1 -1)
2θ = 26.97°, rel. 18, (1 2 0)
2θ = 30.09°, rel. 17, (-1 1 2)
2θ = 33.06°, rel. 22, (2 1 1)

---

Computed XRD peak list
Compound: TlHNF2
Radiation: Cu Kα (λ = 1.5418 Å)
Structure: a crystal structure in Alexandria, relaxed with GGA-PBE
No peak broadening, texture or thermal motion is included.

Structural model:
Lattice parameters (Å, degrees): 3.380 3.380 4.462 90.00 90.00 90.00
Space group P4/mmm (No. 123)
Asymmetric unit:
1 Tl 0.000 0.000 0.000 [1 per cell]
2 H 0.500 0.500 0.500 [1 per cell]
3 N 0.500 0.500 0.000 [1 per cell]
4 F 0.000 0.500 0.500 [2 per cell]

Principal peaks in the range 2θ from 10° to 80°, in order of rising 2θ:
2θ = 19.90°, rel. 73, (0 0 1)
2θ = 26.37°, rel. 86, (1 0 0)
2θ = 33.25°, rel. 100, (1 0 1)
2θ = 37.64°, rel. 31, (1 1 0)
2θ = 40.43°, rel. 27, (0 0 2)
2θ = 42.93°, rel. 88, (1 1 1)
2θ = 48.92°, rel. 35, (1 0 2)
2θ = 54.28°, rel. 22, (2 0 0)
2θ = 56.42°, rel. 20, (1 1 2)
2θ = 65.16°, rel. 31, (2 1 1)
2θ = 69.82°, rel. 20, (2 0 2)
2θ = 76.06°, rel. 20, (2 1 2)

---

Computed XRD peak list
Compound: ZrH3NF4
Radiation: Cu Kα (λ = 1.5418 Å)
Structure: a crystal structure in Alexandria, relaxed with GGA-PBE
No peak broadening, texture or thermal motion is included.

Structural model:
Lattice parameters (Å, degrees): 6.190 8.221 8.626 106.49 104.08 107.50
Space group P-1 (No. 2)
Asymmetric unit:
1 Zr 0.224 0.292 0.370 [2 per cell]
2 Zr 0.242 0.787 0.339 [2 per cell]
3 H 0.184 0.293 0.950 [2 per cell]
4 H 0.192 0.981 0.928 [2 per cell]
5 H 0.207 0.492 0.935 [2 per cell]
6 H 0.230 0.788 0.894 [2 per cell]
7 H 0.279 0.346 0.800 [2 per cell]
8 H 0.299 0.907 0.774 [2 per cell]
9 N 0.160 0.355 0.863 [2 per cell]
10 N 0.177 0.866 0.832 [2 per cell]
11 F 0.008 0.722 0.482 [2 per cell]
12 F 0.113 0.997 0.328 [2 per cell]
13 F 0.136 0.490 0.279 [2 per cell]
14 F 0.259 0.194 0.138 [2 per cell]
15 F 0.285 0.731 0.110 [2 per cell]
16 F 0.397 0.564 0.589 [2 per cell]
17 F 0.433 0.265 0.595 [2 per cell]
18 F 0.443 0.959 0.613 [2 per cell]

Principal peaks in the range 2θ from 10° to 80°, in order of rising 2θ:
2θ = 11.46°, rel. 100, (0 0 1)
2θ = 16.06°, rel. 65, (1 0 -1)
2θ = 22.92°, rel. 56, (1 0 -2)
2θ = 23.45°, rel. 13, (1 -2 0)
2θ = 24.46°, rel. 35, (1 -2 1)
2θ = 24.62°, rel. 25, (0 2 0)
2θ = 26.49°, rel. 11, (0 2 -2)
2θ = 31.16°, rel. 14, (1 2 -1)
2θ = 32.51°, rel. 14, (2 0 0)
2θ = 44.12°, rel. 11, (1 -4 1)
2θ = 46.52°, rel. 15, (3 0 -2)
2θ = 49.53°, rel. 10, (3 0 -3)

---

Computed XRD peak list
Compound: Na5H4F
Radiation: Cu Kα (λ = 1.5418 Å)
Structure: a crystal structure in Alexandria, relaxed with GGA-PBE
No peak broadening, texture or thermal motion is included.

Structural model:
Lattice parameters (Å, degrees): 3.3905 3.3905 41.5143 90.00 90.00 120.00
Space group R-3m (No. 166, hexagonal axes)
Asymmetric unit:
1 Na 0.0000 0.0000 0.0000 [3 per cell]
2 Na 0.0000 0.0000 0.1991 [6 per cell]
3 Na 0.0000 0.0000 0.4005 [6 per cell]
4 H 0.0000 0.0000 0.1006 [6 per cell]
5 H 0.0000 0.0000 0.2998 [6 per cell]
6 F 0.0000 0.0000 0.5000 [3 per cell]

Principal peaks in the range 2θ from 10° to 80°, in order of rising 2θ:
2θ = 12.79°, rel. 9, (0 0 6)
2θ = 19.24°, rel. 4, (0 0 9)
2θ = 25.75°, rel. 2, (0 0 12)
2θ = 30.52°, rel. 3, (1 0 1)
2θ = 30.75°, rel. 3, (0 1 2)
2θ = 31.67°, rel. 2, (1 0 4)
2θ = 32.34°, rel. 87, (0 1 5)
2θ = 37.52°, rel. 100, (1 0 10)
2θ = 41.79°, rel. 2, (1 0 13)
2θ = 54.10°, rel. 60, (1 1 0)
2θ = 64.46°, rel. 33, (2 0 5)
2θ = 67.70°, rel. 18, (0 2 10)

---

Computed XRD peak list
Compound: Na8H3F4
Radiation: Cu Kα (λ = 1.5418 Å)
Structure: a crystal structure in Alexandria, relaxed with GGA-PBE
No peak broadening, texture or thermal motion is included.

Structural model:
Lattice parameters (Å, degrees): 9.580 9.585 6.780 90.00 134.88 90.00
Space group C2/m (No. 12)
Asymmetric unit:
1 Na 0.000 0.245 0.000 [4 per cell]
2 Na 0.000 0.249 0.500 [4 per cell]
3 Na 0.242 0.000 0.489 [4 per cell]
4 Na 0.244 0.000 0.996 [4 per cell]
5 H 0.000 0.500 0.500 [2 per cell]
6 H 0.250 0.250 0.500 [4 per cell]
7 F 0.000 0.000 0.000 [2 per cell]
8 F 0.000 0.000 0.500 [2 per cell]
9 F 0.250 0.250 0.000 [4 per cell]

Principal peaks in the range 2θ from 10° to 80°, in order of rising 2θ:
2θ = 16.00°, rel. 24, (1 1 0)
2θ = 18.50°, rel. 12, (2 0 -1)
2θ = 26.28°, rel. 10, (0 2 1)
2θ = 30.93°, rel. 9, (1 3 0)
2θ = 32.33°, rel. 48, (2 2 -2)
2θ = 37.49°, rel. 100, (0 4 0)
2θ = 37.55°, rel. 50, (4 0 -2)
2θ = 54.07°, rel. 60, (4 0 -4)
2θ = 54.14°, rel. 30, (4 4 -2)
2θ = 64.35°, rel. 7, (2 2 -4)
2θ = 64.49°, rel. 14, (6 2 -4)
2θ = 67.68°, rel. 26, (4 4 -4)

---

Computed XRD peak list
Compound: NaHF2
Radiation: Cu Kα (λ = 1.5418 Å)
Structure: a crystal structure in Alexandria, relaxed with GGA-PBE
No peak broadening, texture or thermal motion is included.

Structural model:
Lattice parameters (Å, degrees): 5.242 5.261 5.932 90.00 90.00 90.00
Space group Ibam (No. 72)
Asymmetric unit:
1 Na 0.000 0.000 0.250 [4 per cell]
2 H 0.000 0.500 0.000 [4 per cell]
3 F 0.156 0.346 0.000 [8 per cell]

Principal peaks in the range 2θ from 10° to 80°, in order of rising 2θ:
2θ = 23.96°, rel. 12, (1 1 0)
2θ = 30.13°, rel. 11, (0 0 2)
2θ = 38.86°, rel. 100, (1 1 2)
2θ = 41.35°, rel. 100, (1 2 1)
2θ = 46.18°, rel. 56, (2 0 2)
2θ = 49.07°, rel. 16, (2 2 0)
2θ = 55.24°, rel. 21, (1 3 0)
2θ = 55.40°, rel. 21, (3 1 0)
2θ = 58.66°, rel. 7, (2 2 2)
2θ = 61.29°, rel. 23, (1 2 3)
2θ = 62.65°, rel. 13, (0 0 4)
2θ = 79.77°, rel. 7, (0 4 2)

---

Computed XRD peak list
Compound: NaHF3
Radiation: Cu Kα (λ = 1.5418 Å)
Structure: a crystal structure in Alexandria, relaxed with GGA-PBE
No peak broadening, texture or thermal motion is included.

Structural model:
Lattice parameters (Å, degrees): 8.804 10.073 6.389 90.00 119.53 90.00
Space group C2/c (No. 15)
Asymmetric unit:
1 Na 0.000 0.086 0.250 [4 per cell]
2 Na 0.000 0.401 0.750 [4 per cell]
3 H 0.212 0.172 0.693 [8 per cell]
4 F 0.103 0.226 0.593 [8 per cell]
5 F 0.147 0.411 0.191 [8 per cell]
6 F 0.188 0.050 0.099 [8 per cell]

Principal peaks in the range 2θ from 10° to 80°, in order of rising 2θ:
2θ = 17.61°, rel. 28, (0 2 0)
2θ = 27.29°, rel. 62, (2 2 -1)
2θ = 28.93°, rel. 20, (2 0 -2)
2θ = 29.63°, rel. 28, (1 1 -2)
2θ = 32.20°, rel. 19, (0 0 2)
2θ = 35.19°, rel. 31, (3 1 -2)
2θ = 36.07°, rel. 100, (1 3 1)
2θ = 40.86°, rel. 43, (3 3 -1)
2θ = 45.52°, rel. 43, (4 2 -1)
2θ = 46.29°, rel. 43, (2 2 -3)
2θ = 46.58°, rel. 20, (2 4 -2)
2θ = 49.07°, rel. 32, (2 0 2)

---

Computed XRD peak list
Compound: NaH2F2
Radiation: Cu Kα (λ = 1.5418 Å)
Structure: a crystal structure in Alexandria, relaxed with GGA-PBE
No peak broadening, texture or thermal motion is included.

Structural model:
Lattice parameters (Å, degrees): 3.6853 3.6853 5.7515 90.00 90.00 120.00
Space group P-3m1 (No. 164)
Asymmetric unit:
1 Na 0.0000 0.0000 0.0000 [1 per cell]
2 H 0.3333 0.6667 0.3621 [2 per cell]
3 F 0.3333 0.6667 0.1854 [2 per cell]

Principal peaks in the range 2θ from 10° to 80°, in order of rising 2θ:
2θ = 15.41°, rel. 100, (0 0 1)
2θ = 32.07°, rel. 97, (0 1 1)
2θ = 42.30°, rel. 57, (0 1 2)
2θ = 49.46°, rel. 37, (1 1 0)
2θ = 52.12°, rel. 22, (1 1 1)
2θ = 55.95°, rel. 21, (1 0 3)
2θ = 60.18°, rel. 11, (2 0 1)
2θ = 64.84°, rel. 1, (0 0 4)
2θ = 67.08°, rel. 11, (2 0 2)
2θ = 72.04°, rel. 7, (1 0 4)
2θ = 77.89°, rel. 6, (0 2 3)